Starting from a PBE-relaxed structure, the powder X-ray diffraction pattern of Tl4Bi2Au was calculated for Cu Kα.

Principal peaks in the range 10° ≤ 2θ ≤ 90°, in order of rising 2θ:
| 2θ/deg | Rel. int. | hkl |
| --- | --- | --- |
| 27.9 | 14.9 | 4 0 -1 |
| 28.2 | 49.8 | 3 1 0 |
| 29.5 | 17.9 | 2 0 2 |
| 31.5 | 100.0 | 1 1 -2 |
| 31.9 | 28.8 | 3 1 1 |
| 33.8 | 17.6 | 4 0 -2 |
| 39.8 | 34.1 | 0 2 0 |
| 49.4 | 16.7 | 5 1 2 |
| 49.9 | 13.1 | 2 0 -4 |
| 67.1 | 11.8 | 1 3 -2 |

Cell and atoms:
Cell lengths 13.4259, 4.5260, 7.3811 Å; angles 90.00, 98.03, 90.00 degrees
Positions (direct):
Tl  0.0220  0.0000  0.2701
Tl  0.1576  0.5000  0.5943
Tl  0.3424  0.0000  0.4057
Tl  0.4780  0.5000  0.7299
Tl  0.5220  0.5000  0.2701
Tl  0.6576  0.0000  0.5943
Tl  0.8424  0.5000  0.4057
Tl  0.9780  0.0000  0.7299
Bi  0.2082  0.5000  0.1221
Bi  0.2918  0.0000  0.8779
Bi  0.7082  0.0000  0.1221
Bi  0.7918  0.5000  0.8779
Au  0.0000  0.5000  0.0000
Au  0.5000  0.0000  0.0000